Computed X-ray powder pattern of Dy4GePtSe2 for Cu Ka, from the GGA-PBE geometry in Alexandria.
Intensities are scaled so that the largest is 100.

Atomic structure:
a = 7.024 Å, b = 4.087 Å, c = 7.318 Å
α = 90.00°, β = 109.03°, γ = 90.00°
Element x y z (fractional)
1 Dy 0.241 0.000 0.235
2 Dy 0.254 0.500 0.760
3 Dy 0.746 0.500 0.240
4 Dy 0.759 0.000 0.765
5 Ge 0.500 0.000 0.000
6 Pt 0.000 0.500 0.000
7 Se 0.000 0.000 0.500
8 Se 0.500 0.500 0.500

The 8 most intense peaks (10° ≤ 2θ ≤ 90°), by angle:
30.7 deg, intensity 100; 43.2 deg, intensity 26; 43.5 deg, intensity 12; 44.3 deg, intensity 12; 44.6 deg, intensity 24; 54.9 deg, intensity 13; 63.8 deg, intensity 12; 73.5 deg, intensity 11

=====

Computed X-ray powder pattern of TbDyGePt for Cu Ka, from the GGA-PBE geometry in Alexandria.
Intensities are scaled so that the largest is 100.

Atomic structure:
a = 4.255 Å, b = 5.792 Å, c = 5.792 Å
α = 39.93°, β = 90.00°, γ = 90.00°
Element x y z (fractional)
1 Tb 0.000 0.000 0.000
2 Dy 0.500 0.279 0.279
3 Ge 0.000 0.721 0.721
4 Pt 0.500 0.553 0.553

The 8 most intense peaks (10° ≤ 2θ ≤ 90°), by angle:
32.0 deg, intensity 100; 32.9 deg, intensity 30; 33.5 deg, intensity 25; 39.3 deg, intensity 23; 39.8 deg, intensity 64; 42.5 deg, intensity 26; 45.9 deg, intensity 21; 64.3 deg, intensity 28

=====

Please write out number 2 again, unchanged.
Computed X-ray powder pattern of TbDyGePt for Cu Ka, from the GGA-PBE geometry in Alexandria.
Intensities are scaled so that the largest is 100.

Atomic structure:
a = 4.255 Å, b = 5.792 Å, c = 5.792 Å
α = 39.93°, β = 90.00°, γ = 90.00°
Element x y z (fractional)
1 Tb 0.000 0.000 0.000
2 Dy 0.500 0.279 0.279
3 Ge 0.000 0.721 0.721
4 Pt 0.500 0.553 0.553

The 8 most intense peaks (10° ≤ 2θ ≤ 90°), by angle:
32.0 deg, intensity 100; 32.9 deg, intensity 30; 33.5 deg, intensity 25; 39.3 deg, intensity 23; 39.8 deg, intensity 64; 42.5 deg, intensity 26; 45.9 deg, intensity 21; 64.3 deg, intensity 28